For K2HfInSe4, a structure optimized by DFT (PBE) gives the calculated powder XRD pattern in this record (Cu Kα (λ = 1.5418 Å)).
Lines closer than 0.1° are merged.

Largest 10 diffraction maxima, in order of rising 2θ, 10 to 80 degrees two-theta:
2θ/deg	d_spacing	I (rel.)
14.5	6.097	100
15.4	5.763	45
25.3	3.518	25
26.3	3.388	24
29.8	3.003	34
32.3	2.768	23
34.6	2.593	36
36.6	2.454	39
40.1	2.248	19
45.9	1.979	20

Atomic structure:
```
K2HfInSe4
1.0
0.0000 7.1842 11.5268
3.5132 0.0000 11.5268
3.5132 7.1842 0.0000
K Hf In Se
4 2 2 8
Direct
0.0589 0.0589 0.6911
0.3089 0.3089 0.9411
0.6911 0.6911 0.0589
0.9411 0.9411 0.3089
0.1250 0.1250 0.1250
0.8750 0.8750 0.8750
0.3750 0.3750 0.3750
0.6250 0.6250 0.6250
0.0656 0.3019 0.3881
0.2556 0.6119 0.6981
0.3019 0.0656 0.7444
0.3881 0.7444 0.0656
0.6119 0.2556 0.9344
0.6981 0.9344 0.2556
0.7444 0.3881 0.3019
0.9344 0.6981 0.6119
```